# Mg6VCrO8
Simulated powder XRD pattern, CuKα. Input: DFT lattice parameters and positions (PBE+U).
No peak broadening, texture or thermal motion is included.

Cell and atoms:
Cell: 4.358 4.358 8.468 Å, 90.00 90.00 90.00°
Fractional coordinates of all 16 atoms:
Mg: 0.000 0.000 0.000
Mg: 0.000 0.500 0.249
Mg: 0.000 0.500 0.751
Mg: 0.500 0.000 0.249
Mg: 0.500 0.000 0.751
Mg: 0.500 0.500 0.000
V: 0.000 0.000 0.500
Cr: 0.500 0.500 0.500
O: 0.000 0.000 0.244
O: 0.000 0.000 0.756
O: 0.000 0.500 0.000
O: 0.000 0.500 0.500
O: 0.500 0.000 0.000
O: 0.500 0.000 0.500
O: 0.500 0.500 0.249
O: 0.500 0.500 0.751

Largest 12 diffraction maxima, by angle, 2θ = 10–90°:
| index | d [Å] | 2θ/deg | Rel. int. |
| --- | --- | --- | --- |
| 0 0 1 | 8.468 | 10.45 | 26 |
| 0 0 2 | 4.234 | 20.98 | 6 |
| 1 1 0 | 3.081 | 28.98 | 5 |
| 1 1 1 | 2.896 | 30.88 | 8 |
| 1 1 2 | 2.491 | 36.05 | 32 |
| 2 0 0 | 2.179 | 41.44 | 100 |
| 0 0 4 | 2.117 | 42.71 | 45 |
| 2 2 0 | 1.541 | 60.05 | 28 |
| 2 0 4 | 1.518 | 61.03 | 53 |
| 3 1 2 | 1.310 | 72.07 | 11 |
| 1 1 6 | 1.283 | 73.86 | 5 |
| 2 2 4 | 1.246 | 76.46 | 25 |